This entry pairs a crystal structure of SrNb2NiClO7 with its calculated powder diffraction line list. Radiation: λ = 1.5418 Å (Cu Kα). Structure: a cell relaxed with PBE+U.
Neutral-atom scattering factors, no anomalous dispersion.

Structure:
Lattice parameters (Å, degrees): 3.9308 3.9308 12.0150 90.00 90.00 90.00
Space group P4/mmm (No. 123)
Unique sites:
Sr  0.0000  0.0000  0.0000 x1
Nb  0.5000  0.5000  0.1912 x2
Ni  0.5000  0.5000  0.5000 x1
Cl  0.0000  0.0000  0.5000 x1
O  0.0000  0.5000  0.1563 x4
O  0.5000  0.5000  0.0000 x1
O  0.5000  0.5000  0.3421 x2

The 12 most intense peaks (15 to 90 degrees two-theta), by angle:
| 2θ/deg | d_spacing | intensity |
| --- | --- | --- |
| 22.20 | 4.005 | 41 |
| 22.62 | 3.931 | 65 |
| 27.11 | 3.289 | 93 |
| 31.90 | 2.805 | 88 |
| 32.21 | 2.779 | 100 |
| 44.41 | 2.040 | 36 |
| 45.28 | 2.002 | 23 |
| 46.19 | 1.965 | 63 |
| 54.38 | 1.687 | 25 |
| 56.65 | 1.625 | 24 |
| 57.23 | 1.610 | 35 |
| 66.68 | 1.403 | 36 |